No. 1
Starting from a structure optimized by DFT (GGA-PBE), the PXRD pattern of Ba4Sm2Cd3S10 was computed for Cu Ka.
Neutral-atom scattering factors, no anomalous dispersion.

Cell and atoms:
a b c (Å): 9.397 9.397 27.027
angles (deg): 90.00 90.00 154.04
Fractional coordinates of all 38 atoms:
Ba1 0.076 0.924 0.500
Ba2 0.096 0.904 0.318
Ba3 0.337 0.663 0.266
Ba4 0.337 0.663 0.546
Ba5 0.663 0.337 0.046
Ba6 0.663 0.337 0.766
Ba7 0.904 0.096 0.818
Ba8 0.924 0.076 0.000
Sm1 0.003 0.997 0.157
Sm2 0.420 0.580 0.403
Sm3 0.580 0.420 0.903
Sm4 0.997 0.003 0.657
Cd1 0.282 0.718 0.925
Cd2 0.340 0.660 0.695
Cd3 0.346 0.654 0.112
Cd4 0.654 0.346 0.612
Cd5 0.660 0.340 0.195
Cd6 0.718 0.282 0.425
S1 0.077 0.923 0.834
S2 0.090 0.910 0.973
S3 0.153 0.847 0.667
S4 0.155 0.845 0.138
S5 0.267 0.733 0.390
S6 0.289 0.711 0.778
S7 0.292 0.708 0.025
S8 0.426 0.574 0.910
S9 0.483 0.517 0.724
S10 0.488 0.512 0.085
S11 0.512 0.488 0.585
S12 0.517 0.483 0.224
S13 0.574 0.426 0.410
S14 0.708 0.292 0.525
S15 0.711 0.289 0.278
S16 0.733 0.267 0.890
S17 0.845 0.155 0.638
S18 0.847 0.153 0.167
S19 0.910 0.090 0.473
S20 0.923 0.077 0.334

Principal peaks in the range 10° ≤ 2θ ≤ 90°, in order of falling intensity:
29.4 deg, I 100
42.8 deg, I 70
30.0 deg, I 61
25.7 deg, I 44
25.0 deg, I 38
25.9 deg, I 30
27.2 deg, I 28
25.5 deg, I 27
35.0 deg, I 27
53.2 deg, I 23

=====

No. 2
Starting from a structure optimized by DFT (GGA-PBE), the PXRD pattern of CsCu2I3 was computed for Cu Ka.
Neutral-atom scattering factors, no anomalous dispersion.

Cell and atoms:
a b c (Å): 8.683 8.683 6.084
angles (deg): 90.00 90.00 105.61
Fractional coordinates of all 12 atoms:
Cs1 0.172 0.828 0.750
Cs2 0.828 0.172 0.250
Cu1 0.362 0.362 0.000
Cu2 0.362 0.362 0.500
Cu3 0.638 0.638 0.000
Cu4 0.638 0.638 0.500
I1 0.108 0.339 0.750
I2 0.339 0.108 0.250
I3 0.380 0.620 0.250
I4 0.620 0.380 0.750
I5 0.661 0.892 0.750
I6 0.892 0.661 0.250

Principal peaks in the range 10° ≤ 2θ ≤ 90°, in order of falling intensity:
25.9 deg, I 100
39.5 deg, I 23
25.7 deg, I 18
50.0 deg, I 18
45.7 deg, I 16
43.3 deg, I 15
10.6 deg, I 14
29.4 deg, I 11
41.6 deg, I 10
21.0 deg, I 10

=====

No. 3
Starting from a structure optimized by DFT (GGA-PBE), the PXRD pattern of CsScP2H2O8 was computed for Cu Ka.
Neutral-atom scattering factors, no anomalous dispersion.

Cell and atoms:
a b c (Å): 5.427 9.324 14.940
angles (deg): 90.00 94.41 90.00
Fractional coordinates of all 56 atoms:
Cs1 0.231 0.004 0.388
Cs2 0.231 0.496 0.888
Cs3 0.769 0.504 0.112
Cs4 0.769 0.996 0.612
Sc1 0.248 0.036 0.849
Sc2 0.248 0.464 0.349
Sc3 0.752 0.536 0.651
Sc4 0.752 0.964 0.151
P1 0.222 0.151 0.061
P2 0.222 0.349 0.561
P3 0.273 0.745 0.193
P4 0.273 0.755 0.693
P5 0.727 0.245 0.307
P6 0.727 0.255 0.807
P7 0.778 0.651 0.439
P8 0.778 0.849 0.939
H1 0.246 0.710 0.548
H2 0.246 0.790 0.048
H3 0.334 0.198 0.670
H4 0.334 0.302 0.170
H5 0.666 0.698 0.830
H6 0.666 0.802 0.330
H7 0.754 0.210 0.952
H8 0.754 0.290 0.452
O1 0.045 0.614 0.419
O2 0.045 0.886 0.919
O3 0.065 0.649 0.708
O4 0.065 0.851 0.208
O5 0.238 0.599 0.236
O6 0.238 0.901 0.736
O7 0.243 0.174 0.960
O8 0.243 0.326 0.460
O9 0.263 0.705 0.087
O10 0.263 0.795 0.587
O11 0.283 0.192 0.604
O12 0.283 0.308 0.104
O13 0.411 0.045 0.103
O14 0.411 0.455 0.603
O15 0.468 0.192 0.779
O16 0.468 0.308 0.279
O17 0.532 0.692 0.721
O18 0.532 0.808 0.221
O19 0.589 0.545 0.397
O20 0.589 0.955 0.897
O21 0.717 0.692 0.896
O22 0.717 0.808 0.396
O23 0.737 0.205 0.413
O24 0.737 0.295 0.913
O25 0.757 0.674 0.540
O26 0.757 0.826 0.040
O27 0.762 0.099 0.264
O28 0.762 0.401 0.764
O29 0.935 0.149 0.792
O30 0.935 0.351 0.292
O31 0.955 0.114 0.081
O32 0.955 0.386 0.581

Principal peaks in the range 10° ≤ 2θ ≤ 90°, in order of falling intensity:
27.4 deg, I 100
28.5 deg, I 71
30.7 deg, I 42
25.3 deg, I 41
33.1 deg, I 39
23.9 deg, I 34
27.0 deg, I 24
21.0 deg, I 22
19.0 deg, I 20
45.7 deg, I 19

=====

No. 4
Starting from a structure optimized by DFT (GGA-PBE), the PXRD pattern of CsSnSe3 was computed for Cu Ka.
Neutral-atom scattering factors, no anomalous dispersion.

Cell and atoms:
a b c (Å): 7.214 8.114 8.117
angles (deg): 102.65 106.50 113.74
Fractional coordinates of all 10 atoms:
Cs1 0.222 0.350 0.187
Cs2 0.778 0.650 0.813
Sn1 0.219 0.927 0.507
Sn2 0.781 0.073 0.493
Se1 0.190 0.631 0.602
Se2 0.224 0.228 0.704
Se3 0.339 0.931 0.238
Se4 0.661 0.069 0.762
Se5 0.776 0.772 0.296
Se6 0.810 0.369 0.398

Principal peaks in the range 10° ≤ 2θ ≤ 90°, in order of falling intensity:
29.8 deg, I 100
12.3 deg, I 84
24.1 deg, I 77
22.9 deg, I 77
31.8 deg, I 51
38.6 deg, I 44
22.5 deg, I 39
27.4 deg, I 22
36.0 deg, I 21
19.5 deg, I 21

=====

No. 5
Starting from a structure optimized by DFT (GGA-PBE), the PXRD pattern of Si was computed for Cu Ka.
Neutral-atom scattering factors, no anomalous dispersion.

Cell and atoms:
a b c (Å): 2.677 2.677 2.677
angles (deg): 109.47 109.47 109.47
Fractional coordinates of all 1 atoms:
Si1 0.000 0.000 0.000

Principal peaks in the range 10° ≤ 2θ ≤ 90°, in order of falling intensity:
41.3 deg, I 100
75.3 deg, I 34
59.8 deg, I 16
89.7 deg, I 11

=====

No. 6
Starting from a structure optimized by DFT (GGA-PBE), the PXRD pattern of K3InCl6 was computed for Cu Ka.
Neutral-atom scattering factors, no anomalous dispersion.

Cell and atoms:
a b c (Å): 12.997 7.749 12.589
angles (deg): 90.00 108.91 90.00
Fractional coordinates of all 40 atoms:
K1 0.100 0.022 0.362
K2 0.100 0.478 0.862
K3 0.316 0.562 0.264
K4 0.316 0.938 0.764
K5 0.321 0.068 0.111
K6 0.321 0.432 0.611
K7 0.679 0.568 0.389
K8 0.679 0.932 0.889
K9 0.684 0.062 0.236
K10 0.684 0.438 0.736
K11 0.900 0.522 0.138
K12 0.900 0.978 0.638
In1 0.000 0.000 0.000
In2 0.000 0.500 0.500
In3 0.500 0.000 0.500
In4 0.500 0.500 0.000
Cl1 0.101 0.219 0.591
Cl2 0.101 0.281 0.091
Cl3 0.115 0.511 0.373
Cl4 0.115 0.989 0.873
Cl5 0.137 0.678 0.651
Cl6 0.137 0.822 0.151
Cl7 0.348 0.210 0.395
Cl8 0.348 0.290 0.895
Cl9 0.349 0.705 0.004
Cl10 0.349 0.795 0.504
Cl11 0.500 0.136 0.688
Cl12 0.500 0.364 0.188
Cl13 0.500 0.636 0.812
Cl14 0.500 0.864 0.312
Cl15 0.651 0.205 0.496
Cl16 0.651 0.295 0.996
Cl17 0.652 0.710 0.105
Cl18 0.652 0.790 0.605
Cl19 0.863 0.178 0.849
Cl20 0.863 0.322 0.349
Cl21 0.885 0.011 0.127
Cl22 0.885 0.489 0.627
Cl23 0.899 0.719 0.909
Cl24 0.899 0.781 0.409

Principal peaks in the range 10° ≤ 2θ ≤ 90°, in order of falling intensity:
14.3 deg, I 100
33.4 deg, I 79
16.5 deg, I 71
24.1 deg, I 62
23.5 deg, I 45
14.4 deg, I 31
49.4 deg, I 30
34.5 deg, I 30
14.9 deg, I 29
32.0 deg, I 26

=====

No. 7
Starting from a structure optimized by DFT (GGA-PBE), the PXRD pattern of ZnSb2O4 was computed for Cu Ka.
Neutral-atom scattering factors, no anomalous dispersion.

Cell and atoms:
a b c (Å): 7.212 7.212 21.868
angles (deg): 101.96 101.96 54.00
Fractional coordinates of all 56 atoms:
Zn1 0.000 0.000 0.000
Zn2 0.004 0.004 0.619
Zn3 0.141 0.141 0.910
Zn4 0.295 0.295 0.356
Zn5 0.325 0.325 0.797
Zn6 0.551 0.551 0.554
Zn7 0.760 0.760 0.270
Zn8 0.943 0.943 0.137
Sb1 0.038 0.529 0.530
Sb2 0.040 0.540 0.025
Sb3 0.045 0.045 0.446
Sb4 0.249 0.763 0.271
Sb5 0.294 0.294 0.188
Sb6 0.342 0.842 0.769
Sb7 0.400 0.400 0.671
Sb8 0.501 0.501 0.945
Sb9 0.529 0.038 0.530
Sb10 0.540 0.040 0.025
Sb11 0.584 0.584 0.118
Sb12 0.740 0.740 0.404
Sb13 0.763 0.249 0.271
Sb14 0.806 0.806 0.686
Sb15 0.836 0.836 0.848
Sb16 0.842 0.342 0.769
O1 0.057 0.057 0.221
O2 0.063 0.063 0.822
O3 0.102 0.102 0.709
O4 0.131 0.520 0.720
O5 0.160 0.745 0.065
O6 0.173 0.628 0.188
O7 0.219 0.679 0.588
O8 0.269 0.269 0.591
O9 0.279 0.279 0.084
O10 0.293 0.293 0.966
O11 0.302 0.302 0.471
O12 0.311 0.862 0.960
O13 0.328 0.870 0.505
O14 0.382 0.382 0.287
O15 0.470 0.470 0.852
O16 0.478 0.994 0.833
O17 0.520 0.131 0.720
O18 0.533 0.968 0.342
O19 0.621 0.621 0.214
O20 0.628 0.173 0.188
O21 0.679 0.219 0.588
O22 0.684 0.684 0.727
O23 0.708 0.708 0.599
O24 0.732 0.732 0.110
O25 0.745 0.160 0.065
O26 0.851 0.851 0.939
O27 0.862 0.311 0.960
O28 0.870 0.328 0.505
O29 0.893 0.893 0.453
O30 0.915 0.915 0.293
O31 0.968 0.533 0.342
O32 0.994 0.478 0.833

Principal peaks in the range 10° ≤ 2θ ≤ 90°, in order of falling intensity:
31.8 deg, I 100
32.1 deg, I 82
31.1 deg, I 65
32.9 deg, I 54
29.6 deg, I 50
28.6 deg, I 43
24.8 deg, I 42
25.9 deg, I 37
16.6 deg, I 30
27.3 deg, I 28

=====

No. 8
Starting from a structure optimized by DFT (GGA-PBE), the PXRD pattern of HgS2N2O6 was computed for Cu Ka.
Neutral-atom scattering factors, no anomalous dispersion.

Cell and atoms:
a b c (Å): 6.924 10.155 15.085
angles (deg): 90.00 90.00 90.00
Fractional coordinates of all 44 atoms:
Hg1 0.021 0.224 0.368
Hg2 0.479 0.776 0.868
Hg3 0.521 0.276 0.632
Hg4 0.979 0.724 0.132
S1 0.006 0.847 0.313
S2 0.035 0.141 0.562
S3 0.465 0.859 0.062
S4 0.494 0.153 0.813
S5 0.506 0.653 0.687
S6 0.535 0.359 0.438
S7 0.965 0.641 0.938
S8 0.994 0.347 0.187
N1 0.037 0.926 0.728
N2 0.047 0.609 0.532
N3 0.453 0.391 0.032
N4 0.463 0.074 0.228
N5 0.537 0.574 0.272
N6 0.547 0.891 0.468
N7 0.953 0.109 0.968
N8 0.963 0.426 0.772
O1 0.050 0.275 0.593
O2 0.081 0.467 0.219
O3 0.114 0.247 0.147
O4 0.151 0.578 0.941
O5 0.208 0.067 0.545
O6 0.213 0.835 0.315
O7 0.287 0.165 0.815
O8 0.292 0.933 0.045
O9 0.349 0.422 0.441
O10 0.386 0.753 0.647
O11 0.419 0.533 0.719
O12 0.450 0.725 0.093
O13 0.550 0.225 0.407
O14 0.581 0.033 0.781
O15 0.614 0.253 0.853
O16 0.651 0.922 0.059
O17 0.708 0.433 0.455
O18 0.713 0.665 0.685
O19 0.787 0.335 0.185
O20 0.792 0.567 0.955
O21 0.849 0.078 0.559
O22 0.886 0.747 0.353
O23 0.919 0.967 0.281
O24 0.950 0.775 0.907

Principal peaks in the range 10° ≤ 2θ ≤ 90°, in order of falling intensity:
10.5 deg, I 100
14.1 deg, I 64
22.5 deg, I 37
19.5 deg, I 34
17.5 deg, I 30
29.5 deg, I 25
32.4 deg, I 25
25.7 deg, I 23
39.1 deg, I 21
31.7 deg, I 21